(1)
Calculated X-ray diffraction stick pattern
Compound: Ge2SeS
Radiation: a wavelength of 1.5418 Å
Structure: a cell relaxed with GGA-PBE

Cell and atoms:
Unit cell a=3.7857 b=4.4839 c=10.9155 alpha=90.00 beta=90.00 gamma=90.00
Fractional positions:
Ge 0.0000 0.1087 0.0000
Ge 0.0000 0.8913 0.5000
Ge 0.5000 0.3543 0.2496
Ge 0.5000 0.6457 0.7496
Se 0.0000 0.2572 0.7684
Se 0.0000 0.7428 0.2684
S 0.5000 0.2411 0.4683
S 0.5000 0.7589 0.9683

Top 6 peaks for 10 to 80 degrees two-theta, in order of falling intensity:
| 2theta | d_spacing | I_rel |
| --- | --- | --- |
| 32.01 | 2.796 | 1000 |
| 32.82 | 2.729 | 484 |
| 25.71 | 3.465 | 364 |
| 39.81 | 2.264 | 298 |
| 52.52 | 1.743 | 287 |
| 48.07 | 1.893 | 185 |

***

(2)
Calculated X-ray diffraction stick pattern
Compound: Al4Si
Radiation: a wavelength of 1.5418 Å
Structure: a cell relaxed with GGA-PBE

Cell and atoms:
Unit cell a=2.8453 b=2.8453 c=34.0861 alpha=90.00 beta=90.00 gamma=120.00
Fractional positions:
Al 0.0000 0.0000 0.1027
Al 0.0000 0.0000 0.2986
Al 0.0000 0.0000 0.7014
Al 0.0000 0.0000 0.8973
Al 0.3333 0.6667 0.3680
Al 0.3333 0.6667 0.5639
Al 0.3333 0.6667 0.7694
Al 0.3333 0.6667 0.9653
Al 0.6667 0.3333 0.0347
Al 0.6667 0.3333 0.2306
Al 0.6667 0.3333 0.4361
Al 0.6667 0.3333 0.6320
Si 0.0000 0.0000 0.5000
Si 0.3333 0.6667 0.1667
Si 0.6667 0.3333 0.8333

Top 6 peaks for 10 to 80 degrees two-theta, in order of falling intensity:
| 2theta | d_spacing | I_rel |
| --- | --- | --- |
| 38.86 | 2.317 | 1000 |
| 45.42 | 1.997 | 623 |
| 39.66 | 2.272 | 305 |
| 79.48 | 1.206 | 233 |
| 65.63 | 1.423 | 208 |
| 66.73 | 1.402 | 187 |

***

(3)
Calculated X-ray diffraction stick pattern
Compound: LaCe
Radiation: a wavelength of 1.5418 Å
Structure: a cell relaxed with GGA-PBE

Cell and atoms:
Unit cell a=3.5529 b=3.5529 c=17.6664 alpha=90.00 beta=90.00 gamma=120.00
Fractional positions:
La 0.0000 0.0000 0.0000
La 0.3333 0.6667 0.6667
La 0.6667 0.3333 0.3333
Ce 0.0000 0.0000 0.5000
Ce 0.3333 0.6667 0.1667
Ce 0.6667 0.3333 0.8333

Top 6 peaks for 10 to 80 degrees two-theta, in order of falling intensity:
| 2theta | d_spacing | I_rel |
| --- | --- | --- |
| 30.77 | 2.906 | 1000 |
| 35.56 | 2.525 | 679 |
| 30.36 | 2.944 | 345 |
| 60.91 | 1.521 | 283 |
| 50.90 | 1.794 | 244 |
| 51.44 | 1.776 | 236 |

***

(4)
Calculated X-ray diffraction stick pattern
Compound: Al2Zn3N4
Radiation: a wavelength of 1.5418 Å
Structure: a cell relaxed with GGA-PBE

Cell and atoms:
Unit cell a=6.2903 b=6.2903 c=5.3079 alpha=93.32 beta=93.32 gamma=91.40
Fractional positions:
Al 0.1090 0.3323 0.3809
Al 0.3323 0.1090 0.8809
Al 0.6677 0.8910 0.1191
Al 0.8910 0.6677 0.6191
Zn 0.1445 0.8555 0.2500
Zn 0.2239 0.5496 0.9104
Zn 0.4504 0.7761 0.5896
Zn 0.5496 0.2239 0.4104
Zn 0.7761 0.4504 0.0896
Zn 0.8555 0.1445 0.7500
N 0.1162 0.2722 0.0217
N 0.1795 0.6140 0.5111
N 0.2722 0.1162 0.5217
N 0.3860 0.8205 0.9889
N 0.6140 0.1795 0.0111
N 0.7278 0.8838 0.4783
N 0.8205 0.3860 0.4889
N 0.8838 0.7278 0.9783

Top 6 peaks for 10 to 80 degrees two-theta, in order of falling intensity:
| 2theta | d_spacing | I_rel |
| --- | --- | --- |
| 34.07 | 2.631 | 1000 |
| 35.30 | 2.542 | 690 |
| 46.28 | 1.962 | 507 |
| 25.99 | 3.428 | 434 |
| 36.06 | 2.491 | 387 |
| 19.72 | 4.502 | 319 |

***

Copy entry 2 word for word.
Calculated X-ray diffraction stick pattern
Compound: Al4Si
Radiation: a wavelength of 1.5418 Å
Structure: a cell relaxed with GGA-PBE

Cell and atoms:
Unit cell a=2.8453 b=2.8453 c=34.0861 alpha=90.00 beta=90.00 gamma=120.00
Fractional positions:
Al 0.0000 0.0000 0.1027
Al 0.0000 0.0000 0.2986
Al 0.0000 0.0000 0.7014
Al 0.0000 0.0000 0.8973
Al 0.3333 0.6667 0.3680
Al 0.3333 0.6667 0.5639
Al 0.3333 0.6667 0.7694
Al 0.3333 0.6667 0.9653
Al 0.6667 0.3333 0.0347
Al 0.6667 0.3333 0.2306
Al 0.6667 0.3333 0.4361
Al 0.6667 0.3333 0.6320
Si 0.0000 0.0000 0.5000
Si 0.3333 0.6667 0.1667
Si 0.6667 0.3333 0.8333

Top 6 peaks for 10 to 80 degrees two-theta, in order of falling intensity:
| 2theta | d_spacing | I_rel |
| --- | --- | --- |
| 38.86 | 2.317 | 1000 |
| 45.42 | 1.997 | 623 |
| 39.66 | 2.272 | 305 |
| 79.48 | 1.206 | 233 |
| 65.63 | 1.423 | 208 |
| 66.73 | 1.402 | 187 |